No. 1
Structure and theoretical PXRD pattern of Tb6PmDy2Ho (DFT lattice parameters and positions (GGA-PBE); copper Kα).

Crystal structure
```
data_Tb6PmDy2Ho
_space_group_name_H-M_alt 'P 1'
_space_group_IT_number 1
_space_group_name_Hall 'P 1'
_cell_length_a 8.790
_cell_length_b 8.790
_cell_length_c 9.573
_cell_angle_alpha 93.84
_cell_angle_beta 93.84
_cell_angle_gamma 117.82
loop_
_atom_site_label
_atom_site_type_symbol
_atom_site_fract_x
_atom_site_fract_y
_atom_site_fract_z
_atom_site_occupancy
Tb1 Tb 0.017 0.567 0.184 1
Tb2 Tb 0.122 0.750 0.556 1
Tb3 Tb 0.250 0.878 0.944 1
Tb4 Tb 0.292 0.507 0.380 1
Tb5 Tb 0.433 0.983 0.316 1
Tb6 Tb 0.493 0.708 0.120 1
Tb7 Tb 0.507 0.292 0.880 1
Tb8 Tb 0.567 0.017 0.684 1
Tb9 Tb 0.708 0.493 0.620 1
Tb10 Tb 0.750 0.122 0.056 1
Tb11 Tb 0.878 0.250 0.444 1
Tb12 Tb 0.983 0.433 0.816 1
Pm1 Pm 0.024 0.976 0.250 1
Pm2 Pm 0.976 0.024 0.750 1
Dy1 Dy 0.199 0.303 0.045 1
Dy2 Dy 0.303 0.199 0.545 1
Dy3 Dy 0.697 0.801 0.455 1
Dy4 Dy 0.801 0.697 0.955 1
Ho1 Ho 0.409 0.591 0.750 1
Ho2 Ho 0.591 0.409 0.250 1
```

Top 10 peaks for 5° ≤ 2θ ≤ 70°, by angle:
d = 3.174 Å, 2θ = 28.12°, intensity 15.7
d = 3.123 Å, 2θ = 28.58°, intensity 37.1
d = 2.917 Å, 2θ = 30.65°, intensity 100.0
d = 2.856 Å, 2θ = 31.32°, intensity 43.2
d = 2.845 Å, 2θ = 31.44°, intensity 60.7
d = 2.828 Å, 2θ = 31.63°, intensity 35.6
d = 2.766 Å, 2θ = 32.37°, intensity 19.8
d = 2.646 Å, 2θ = 33.88°, intensity 45.6
d = 2.593 Å, 2θ = 34.59°, intensity 14.2
d = 1.634 Å, 2θ = 56.30°, intensity 12.1

---

No. 2
Structure and theoretical PXRD pattern of Pm3DyHo2Te6 (DFT lattice parameters and positions (GGA-PBE); copper Kα).

Crystal structure
```
data_Pm3DyHo2Te6
_space_group_name_H-M_alt 'P 1'
_space_group_IT_number 1
_space_group_name_Hall 'P 1'
_cell_length_a 9.884
_cell_length_b 9.884
_cell_length_c 8.895
_cell_angle_alpha 104.08
_cell_angle_beta 104.08
_cell_angle_gamma 25.50
loop_
_atom_site_label
_atom_site_type_symbol
_atom_site_fract_x
_atom_site_fract_y
_atom_site_fract_z
_atom_site_occupancy
Pm1 Pm 0.000 0.000 0.000 1
Pm2 Pm 0.334 0.334 0.667 1
Pm3 Pm 0.666 0.666 0.333 1
Dy1 Dy 0.000 0.000 0.500 1
Ho1 Ho 0.334 0.334 0.168 1
Ho2 Ho 0.666 0.666 0.832 1
Te1 Te 0.165 0.165 0.589 1
Te2 Te 0.169 0.169 0.076 1
Te3 Te 0.497 0.497 0.255 1
Te4 Te 0.503 0.503 0.745 1
Te5 Te 0.831 0.831 0.924 1
Te6 Te 0.835 0.835 0.411 1
```

Top 10 peaks for 5° ≤ 2θ ≤ 70°, by angle:
d = 3.113 Å, 2θ = 28.67°, intensity 100.0
d = 2.223 Å, 2θ = 40.58°, intensity 12.9
d = 2.216 Å, 2θ = 40.71°, intensity 25.6
d = 2.185 Å, 2θ = 41.32°, intensity 37.4
d = 1.826 Å, 2θ = 49.95°, intensity 7.0
d = 1.793 Å, 2θ = 50.94°, intensity 6.8
d = 1.786 Å, 2θ = 51.13°, intensity 13.4
d = 1.557 Å, 2θ = 59.37°, intensity 12.6
d = 1.400 Å, 2θ = 66.84°, intensity 11.5
d = 1.385 Å, 2θ = 67.66°, intensity 11.5

---

No. 3
Structure and theoretical PXRD pattern of Pm2DyHo4Th (DFT lattice parameters and positions (GGA-PBE); copper Kα).

Crystal structure
```
data_Pm2DyHo4Th
_space_group_name_H-M_alt 'P 1'
_space_group_IT_number 1
_space_group_name_Hall 'P 1'
_cell_length_a 5.055
_cell_length_b 5.074
_cell_length_c 9.992
_cell_angle_alpha 90.00
_cell_angle_beta 90.00
_cell_angle_gamma 90.00
loop_
_atom_site_label
_atom_site_type_symbol
_atom_site_fract_x
_atom_site_fract_y
_atom_site_fract_z
_atom_site_occupancy
Pm1 Pm 0.000 0.000 0.000 1
Pm2 Pm 0.500 0.500 0.500 1
Dy1 Dy 0.000 0.000 0.500 1
Ho1 Ho 0.000 0.500 0.247 1
Ho2 Ho 0.000 0.500 0.753 1
Ho3 Ho 0.500 0.000 0.247 1
Ho4 Ho 0.500 0.000 0.753 1
Th1 Th 0.500 0.500 0.000 1
```

Top 10 peaks for 5° ≤ 2θ ≤ 70°, by angle:
d = 2.911 Å, 2θ = 30.72°, intensity 100.0
d = 2.537 Å, 2θ = 35.38°, intensity 17.2
d = 2.527 Å, 2θ = 35.52°, intensity 17.0
d = 2.498 Å, 2θ = 35.95°, intensity 16.4
d = 1.791 Å, 2θ = 51.01°, intensity 12.3
d = 1.780 Å, 2θ = 51.33°, intensity 12.0
d = 1.527 Å, 2θ = 60.64°, intensity 14.6
d = 1.523 Å, 2θ = 60.82°, intensity 14.5
d = 1.510 Å, 2θ = 61.40°, intensity 14.1
d = 1.455 Å, 2θ = 63.98°, intensity 12.4

---

No. 4
Structure and theoretical PXRD pattern of PmDyHo2Th (DFT lattice parameters and positions (GGA-PBE); copper Kα).

Crystal structure
```
data_PmDyHo2Th
_space_group_name_H-M_alt 'P 1'
_space_group_IT_number 1
_space_group_name_Hall 'P 1'
_cell_length_a 3.536
_cell_length_b 5.618
_cell_length_c 8.677
_cell_angle_alpha 90.00
_cell_angle_beta 90.06
_cell_angle_gamma 90.00
loop_
_atom_site_label
_atom_site_type_symbol
_atom_site_fract_x
_atom_site_fract_y
_atom_site_fract_z
_atom_site_occupancy
Pm1 Pm 0.000 0.000 0.000 1
Dy1 Dy 0.500 0.000 0.500 1
Ho1 Ho 0.001 0.500 0.321 1
Ho2 Ho 0.999 0.500 0.679 1
Th1 Th 0.500 0.500 0.000 1
```

Top 10 peaks for 5° ≤ 2θ ≤ 70°, by angle:
d = 5.618 Å, 2θ = 15.77°, intensity 16.7
d = 4.339 Å, 2θ = 20.47°, intensity 17.3
d = 2.892 Å, 2θ = 30.92°, intensity 16.3
d = 2.829 Å, 2θ = 31.63°, intensity 100.0
d = 2.809 Å, 2θ = 31.86°, intensity 39.9
d = 2.741 Å, 2θ = 32.67°, intensity 19.7
d = 2.572 Å, 2θ = 34.89°, intensity 26.2
d = 2.463 Å, 2θ = 36.47°, intensity 26.1
d = 1.626 Å, 2θ = 56.62°, intensity 19.5
d = 1.501 Å, 2θ = 61.80°, intensity 20.6

---

No. 5
Structure and theoretical PXRD pattern of Pm6Dy3Ho2Th (DFT lattice parameters and positions (GGA-PBE); copper Kα).

Crystal structure
```
data_Pm6Dy3Ho2Th
_space_group_name_H-M_alt 'P 1'
_space_group_IT_number 1
_space_group_name_Hall 'P 1'
_cell_length_a 6.231
_cell_length_b 6.231
_cell_length_c 11.926
_cell_angle_alpha 95.02
_cell_angle_beta 95.02
_cell_angle_gamma 119.95
loop_
_atom_site_label
_atom_site_type_symbol
_atom_site_fract_x
_atom_site_fract_y
_atom_site_fract_z
_atom_site_occupancy
Pm1 Pm 0.084 0.414 0.749 1
Pm2 Pm 0.246 0.246 0.251 1
Pm3 Pm 0.414 0.084 0.749 1
Pm4 Pm 0.586 0.916 0.251 1
Pm5 Pm 0.754 0.754 0.749 1
Pm6 Pm 0.916 0.586 0.251 1
Dy1 Dy 0.167 0.833 0.000 1
Dy2 Dy 0.500 0.500 0.000 1
Dy3 Dy 0.833 0.167 0.000 1
Ho1 Ho 0.333 0.667 0.500 1
Ho2 Ho 0.667 0.333 0.500 1
Th1 Th 0.000 0.000 0.500 1
```

Top 8 peaks for 5° ≤ 2θ ≤ 70°, by angle:
d = 11.742 Å, 2θ = 7.53°, intensity 0.7
d = 5.871 Å, 2θ = 15.09°, intensity 0.7
d = 2.937 Å, 2θ = 30.43°, intensity 100.0
d = 2.544 Å, 2θ = 35.28°, intensity 50.7
d = 1.799 Å, 2θ = 50.75°, intensity 36.3
d = 1.534 Å, 2θ = 60.34°, intensity 43.2
d = 1.469 Å, 2θ = 63.31°, intensity 9.3
d = 1.468 Å, 2θ = 63.37°, intensity 3.1

---

No. 6
Structure and theoretical PXRD pattern of Pm4DyHoTm2 (DFT lattice parameters and positions (GGA-PBE); copper Kα).

Crystal structure
```
data_Pm4DyHoTm2
_space_group_name_H-M_alt 'P 1'
_space_group_IT_number 1
_space_group_name_Hall 'P 1'
_cell_length_a 5.079
_cell_length_b 5.099
_cell_length_c 10.002
_cell_angle_alpha 90.00
_cell_angle_beta 90.00
_cell_angle_gamma 90.00
loop_
_atom_site_label
_atom_site_type_symbol
_atom_site_fract_x
_atom_site_fract_y
_atom_site_fract_z
_atom_site_occupancy
Pm1 Pm 0.000 0.000 0.250 1
Pm2 Pm 0.000 0.000 0.750 1
Pm3 Pm 0.500 0.500 0.250 1
Pm4 Pm 0.500 0.500 0.750 1
Dy1 Dy 0.000 0.500 0.000 1
Ho1 Ho 0.500 0.000 0.500 1
Tm1 Tm 0.000 0.500 0.500 1
Tm2 Tm 0.500 0.000 0.000 1
```

Top 10 peaks for 5° ≤ 2θ ≤ 70°, by angle:
d = 2.921 Å, 2θ = 30.61°, intensity 100.0
d = 2.549 Å, 2θ = 35.20°, intensity 17.3
d = 2.540 Å, 2θ = 35.34°, intensity 17.1
d = 2.500 Å, 2θ = 35.91°, intensity 16.3
d = 1.799 Å, 2θ = 50.74°, intensity 12.3
d = 1.785 Å, 2θ = 51.17°, intensity 12.0
d = 1.534 Å, 2θ = 60.33°, intensity 14.6
d = 1.530 Å, 2θ = 60.52°, intensity 14.5
d = 1.513 Å, 2θ = 61.28°, intensity 13.9
d = 1.460 Å, 2θ = 63.72°, intensity 12.4

---

No. 7
Structure and theoretical PXRD pattern of PmDyHo6Tm2 (DFT lattice parameters and positions (GGA-PBE); copper Kα).

Crystal structure
```
data_PmDyHo6Tm2
_space_group_name_H-M_alt 'P 1'
_space_group_IT_number 1
_space_group_name_Hall 'P 1'
_cell_length_a 8.724
_cell_length_b 8.724
_cell_length_c 9.439
_cell_angle_alpha 93.41
_cell_angle_beta 93.41
_cell_angle_gamma 117.41
loop_
_atom_site_label
_atom_site_type_symbol
_atom_site_fract_x
_atom_site_fract_y
_atom_site_fract_z
_atom_site_occupancy
Pm1 Pm 0.028 0.972 0.750 1
Pm2 Pm 0.972 0.028 0.250 1
Dy1 Dy 0.410 0.590 0.250 1
Dy2 Dy 0.590 0.410 0.750 1
Ho1 Ho 0.017 0.564 0.682 1
Ho2 Ho 0.121 0.753 0.057 1
Ho3 Ho 0.247 0.879 0.443 1
Ho4 Ho 0.292 0.511 0.882 1
Ho5 Ho 0.436 0.983 0.818 1
Ho6 Ho 0.489 0.708 0.618 1
Ho7 Ho 0.511 0.292 0.382 1
Ho8 Ho 0.564 0.017 0.182 1
Ho9 Ho 0.708 0.489 0.118 1
Ho10 Ho 0.753 0.121 0.557 1
Ho11 Ho 0.879 0.247 0.943 1
Ho12 Ho 0.983 0.436 0.318 1
Tm1 Tm 0.199 0.304 0.547 1
Tm2 Tm 0.304 0.199 0.047 1
Tm3 Tm 0.696 0.801 0.953 1
Tm4 Tm 0.801 0.696 0.453 1
```

Top 10 peaks for 5° ≤ 2θ ≤ 70°, by angle:
d = 3.132 Å, 2θ = 28.50°, intensity 26.1
d = 3.105 Å, 2θ = 28.76°, intensity 63.0
d = 2.902 Å, 2θ = 30.81°, intensity 96.3
d = 2.882 Å, 2θ = 31.03°, intensity 75.4
d = 2.843 Å, 2θ = 31.46°, intensity 100.0
d = 2.831 Å, 2θ = 31.61°, intensity 67.5
d = 2.803 Å, 2θ = 31.93°, intensity 59.6
d = 2.737 Å, 2θ = 32.72°, intensity 36.3
d = 2.608 Å, 2θ = 34.39°, intensity 72.2
d = 2.374 Å, 2θ = 37.90°, intensity 28.6

---

No. 8
Structure and theoretical PXRD pattern of Pm2Dy6YHo (DFT lattice parameters and positions (GGA-PBE); copper Kα).

Crystal structure
```
data_Pm2Dy6YHo
_space_group_name_H-M_alt 'P 1'
_space_group_IT_number 1
_space_group_name_Hall 'P 1'
_cell_length_a 8.801
_cell_length_b 8.801
_cell_length_c 9.647
_cell_angle_alpha 94.30
_cell_angle_beta 94.30
_cell_angle_gamma 118.40
loop_
_atom_site_label
_atom_site_type_symbol
_atom_site_fract_x
_atom_site_fract_y
_atom_site_fract_z
_atom_site_occupancy
Pm1 Pm 0.194 0.302 0.043 1
Pm2 Pm 0.302 0.194 0.543 1
Pm3 Pm 0.698 0.806 0.457 1
Pm4 Pm 0.806 0.698 0.957 1
Dy1 Dy 0.021 0.574 0.187 1
Dy2 Dy 0.127 0.747 0.557 1
Dy3 Dy 0.253 0.873 0.943 1
Dy4 Dy 0.290 0.501 0.381 1
Dy5 Dy 0.426 0.979 0.313 1
Dy6 Dy 0.499 0.710 0.119 1
Dy7 Dy 0.501 0.290 0.881 1
Dy8 Dy 0.574 0.021 0.687 1
Dy9 Dy 0.710 0.499 0.619 1
Dy10 Dy 0.747 0.127 0.057 1
Dy11 Dy 0.873 0.253 0.443 1
Dy12 Dy 0.979 0.426 0.813 1
Y1 Y 0.019 0.981 0.250 1
Y2 Y 0.981 0.019 0.750 1
Ho1 Ho 0.408 0.592 0.750 1
Ho2 Ho 0.592 0.408 0.250 1
```

Top 10 peaks for 5° ≤ 2θ ≤ 70°, by angle:
d = 3.120 Å, 2θ = 28.62°, intensity 48.6
d = 2.932 Å, 2θ = 30.49°, intensity 67.1
d = 2.908 Å, 2θ = 30.74°, intensity 100.0
d = 2.864 Å, 2θ = 31.23°, intensity 72.5
d = 2.835 Å, 2θ = 31.56°, intensity 53.5
d = 2.823 Å, 2θ = 31.70°, intensity 93.6
d = 2.779 Å, 2θ = 32.21°, intensity 23.5
d = 2.668 Å, 2θ = 33.59°, intensity 96.1
d = 2.368 Å, 2θ = 38.00°, intensity 25.6
d = 1.521 Å, 2θ = 60.90°, intensity 23.0